Computed XRD peak list
Compound: LaScNi2H8
Radiation: λ = 1.5418 Å (Cu Kα)
Structure: a cell relaxed with PBE
Peak positions follow from Bragg's law for the DFT cell and can differ from measured ones.

Structure:
```
LaScNi2H8
1.0
2.2748 1.3133 6.3145
-2.2748 1.3133 6.3145
0.0000 -2.6267 6.3145
La Sc Ni H
1 1 2 8
Direct
0.0000 0.0000 0.0000
0.5000 0.5000 0.5000
0.2362 0.2362 0.2362
0.7638 0.7638 0.7638
0.0882 0.4070 0.8227
0.1773 0.9118 0.5930
0.3195 0.3195 0.3195
0.4070 0.8227 0.0882
0.5930 0.1773 0.9118
0.6805 0.6805 0.6805
0.8227 0.0882 0.4070
0.9118 0.5930 0.1773
```

Most intense lines, 2θ = 15–90°, by angle:
2θ 23.06, I = 21
2θ 29.49, I = 100
2θ 32.79, I = 17
2θ 39.62, I = 47
2θ 44.65, I = 27
2θ 50.15, I = 22
2θ 59.87, I = 10
2θ 61.20, I = 10
2θ 65.73, I = 19
2θ 75.40, I = 11